# 1
Structure and computed powder diffraction line list of Nd2Ga3Cu (a crystal structure in Alexandria, relaxed with GGA-PBE; Cu Kα, 1.54184 Å).
Lines closer than 0.1° are merged.

Principal peaks in the range 2θ from 10° to 90°, low angle first:
index  2theta  Rel. int.
0 0 2  23.1  13.6
1 1 1  33.0  100.0
0 2 0  40.6  50.1
2 0 0  47.6  10.6
1 2 2  53.3  25.3
2 2 0  64.3  25.0
1 3 1  69.1  22.7
0 3 3  73.9  8.1
3 1 1  79.2  7.8
0 4 0  87.9  5.2

Structure:
```
data_Nd2Ga3Cu
_chemical_formula_sum 'Nd2 Ga3 Cu1'
_symmetry_space_group_name_H-M 'P m m 2'
_symmetry_Int_Tables_number 25
_cell_length_a 3.824
_cell_length_b 4.441
_cell_length_c 7.693
_cell_angle_alpha 90.00
_cell_angle_beta 90.00
_cell_angle_gamma 90.00
loop_
_symmetry_equiv_pos_as_xyz
'x,y,z'
'-x,-y,z'
'-x,y,z'
'x,-y,z'
loop_
_atom_site_label
_atom_site_fract_x
_atom_site_fract_y
_atom_site_fract_z
_atom_site_occupancy
Nd1 0.000 0.000 0.000 1
Nd2 0.000 0.500 0.495 1
Ga1 0.500 0.000 0.655 1
Ga2 0.500 0.500 0.173 1
Ga3 0.500 0.500 0.833 1
Cu1 0.500 0.000 0.328 1
```



# 2
Structure and computed powder diffraction line list of BH2Cl8 (a crystal structure in Alexandria, relaxed with GGA-PBE; Cu Kα, 1.54184 Å).
Lines closer than 0.1° are merged.

Principal peaks in the range 2θ from 10° to 90°, low angle first:
index  2theta  Rel. int.
2 0 0  14.2  53.8
1 1 1  19.3  41.7
2 0 -1  19.5  44.8
0 2 0  20.1  91.6
2 0 1  20.9  100.0
3 1 -1  27.0  44.5
3 1 1  28.5  62.6
2 2 1  29.2  85.0
1 3 0  31.2  59.7
5 1 0  37.5  47.7

Structure:
```
data_BH2Cl8
_chemical_formula_sum 'B2 H4 Cl16'
_symmetry_space_group_name_H-M 'C 1 2 1'
_symmetry_Int_Tables_number 5
_cell_length_a 12.503
_cell_length_b 8.830
_cell_length_c 6.190
_cell_angle_alpha 90.00
_cell_angle_beta 93.83
_cell_angle_gamma 90.00
loop_
_symmetry_equiv_pos_as_xyz
'x,y,z'
'-x,y,-z'
'x+1/2,y+1/2,z'
'-x+1/2,y+1/2,-z'
loop_
_atom_site_label
_atom_site_fract_x
_atom_site_fract_y
_atom_site_fract_z
_atom_site_occupancy
B1 0.000 0.000 0.000 1
H1 0.213 0.016 0.360 1
Cl1 0.052 0.519 0.884 1
Cl2 0.069 0.121 0.210 1
Cl3 0.099 0.875 0.877 1
Cl4 0.196 0.476 0.536 1
```



# 3
Structure and computed powder diffraction line list of Y6ErTm (a crystal structure in Alexandria, relaxed with GGA-PBE; Cu Kα, 1.54184 Å).
Lines closer than 0.1° are merged.

Principal peaks in the range 2θ from 10° to 90°, low angle first:
index  2theta  Rel. int.
0 0 1  15.1  38.8
2 0 -1  28.5  36.0
2 1 -1  30.3  53.2
0 2 -2  30.5  100.0
0 0 2  30.7  85.1
1 2 -2  32.0  36.8
2 1 0  33.6  54.2
-2 1 1  34.5  42.8
2 0 1  35.2  46.0
2 1 -3  44.3  22.4

Structure:
```
data_Y6ErTm
_chemical_formula_sum 'Y6 Er1 Tm1'
_symmetry_space_group_name_H-M 'P -1'
_symmetry_Int_Tables_number 2
_cell_length_a 6.556
_cell_length_b 6.785
_cell_length_c 6.897
_cell_angle_alpha 119.38
_cell_angle_beta 102.10
_cell_angle_gamma 90.12
loop_
_symmetry_equiv_pos_as_xyz
'x,y,z'
'-x,-y,-z'
loop_
_atom_site_label
_atom_site_fract_x
_atom_site_fract_y
_atom_site_fract_z
_atom_site_occupancy
Y1 0.232 0.408 0.479 1
Y2 0.250 0.946 0.000 1
Y3 0.267 0.928 0.520 1
Er1 0.500 0.500 0.000 1
Tm1 0.000 0.500 0.000 1
```



# 4
Structure and computed powder diffraction line list of HoCd8Au6 (a crystal structure in Alexandria, relaxed with GGA-PBE; Cu Kα, 1.54184 Å).
Lines closer than 0.1° are merged.

Principal peaks in the range 2θ from 10° to 90°, low angle first:
index  2theta  Rel. int.
0 0 3  15.4  19.6
1 1 0  21.7  21.9
2 -1 3  26.7  21.1
3 0 0  38.0  92.0
2 -1 6  38.1  100.0
3 0 3  41.2  10.8
2 2 6  54.9  34.2
3 3 0  68.7  50.3
1 1 12  69.0  14.0
6 0 0  81.2  10.0

Structure:
```
data_HoCd8Au6
_chemical_formula_sum 'Ho3 Cd24 Au18'
_symmetry_space_group_name_H-M 'R -3'
_symmetry_Int_Tables_number 148
_symmetry_space_group_name_Hall '-R 3'
_cell_length_a 8.2078
_cell_length_b 8.2078
_cell_length_c 17.3132
_cell_angle_alpha 90.00
_cell_angle_beta 90.00
_cell_angle_gamma 120.00
loop_
_atom_site_label
_atom_site_fract_x
_atom_site_fract_y
_atom_site_fract_z
_atom_site_occupancy
Ho1 0.0000 0.0000 0.0000 1
Cd1 0.0000 0.0000 0.3323 1
Cd2 0.9998 0.3275 0.8812 1
Au1 0.0016 0.3394 0.0529 1
```



# 5
Structure and computed powder diffraction line list of NdEr7Cd4 (a crystal structure in Alexandria, relaxed with GGA-PBE; Cu Kα, 1.54184 Å).
Lines closer than 0.1° are merged.

Principal peaks in the range 2θ from 10° to 90°, low angle first:
index  2theta  Rel. int.
4 0 0  28.8  24.6
4 0 -3  30.0  48.3
1 1 2  30.7  54.0
0 2 0  31.5  100.0
2 0 2  31.9  30.4
3 1 -3  32.2  43.8
1 1 -3  33.5  23.5
5 1 -1  35.5  73.3
4 2 -3  44.0  33.9
2 2 2  45.4  23.0

Structure:
```
data_NdEr7Cd4
_chemical_formula_sum 'Nd2 Er14 Cd8'
_symmetry_space_group_name_H-M 'C 1 2/m 1'
_symmetry_Int_Tables_number 12
_cell_length_a 14.629
_cell_length_b 5.683
_cell_length_c 9.671
_cell_angle_alpha 90.00
_cell_angle_beta 121.97
_cell_angle_gamma 90.00
loop_
_symmetry_equiv_pos_as_xyz
'x,y,z'
'-x,-y,-z'
'-x,y,-z'
'x,-y,z'
'x+1/2,y+1/2,z'
'-x+1/2,-y+1/2,-z'
'-x+1/2,y+1/2,-z'
'x+1/2,-y+1/2,z'
loop_
_atom_site_label
_atom_site_fract_x
_atom_site_fract_y
_atom_site_fract_z
_atom_site_occupancy
Nd1 0.000 0.000 0.000 1
Er1 0.000 0.500 0.000 1
Er2 0.072 0.000 0.415 1
Er3 0.206 0.000 0.880 1
Er4 0.237 0.500 0.692 1
Cd1 0.042 0.500 0.712 1
Cd2 0.182 0.500 0.340 1
```



# 6
Structure and computed powder diffraction line list of SrZn4Si2 (a crystal structure in Alexandria, relaxed with GGA-PBE; Cu Kα, 1.54184 Å).
Lines closer than 0.1° are merged.

Principal peaks in the range 2θ from 10° to 90°, low angle first:
index  2theta  Rel. int.
0 2 0  12.3  17.5
0 4 1  32.8  11.7
1 3 1  35.5  100.0
0 6 0  37.4  9.9
2 0 0  42.7  22.4
0 0 2  43.4  24.3
1 5 1  43.7  22.3
2 0 2  62.6  15.7
3 3 1  73.6  10.9
1 3 3  74.6  10.5

Structure:
```
data_SrZn4Si2
_chemical_formula_sum 'Sr2 Zn8 Si4'
_symmetry_space_group_name_H-M 'C m m m'
_symmetry_Int_Tables_number 65
_symmetry_space_group_name_Hall '-C 2 2'
_cell_length_a 4.231
_cell_length_b 14.430
_cell_length_c 4.167
_cell_angle_alpha 90.00
_cell_angle_beta 90.00
_cell_angle_gamma 90.00
loop_
_atom_site_label
_atom_site_fract_x
_atom_site_fract_y
_atom_site_fract_z
_atom_site_occupancy
Sr1 0.000 0.000 0.000 1
Zn1 0.000 0.183 0.500 1
Zn2 0.000 0.309 0.000 1
Si1 0.000 0.414 0.500 1
```